Structure and computed X-ray powder pattern of Ac2ThMg (DFT lattice parameters and positions (GGA-PBE); Cu Ka).
Intensities are scaled so that the largest is 100.

Structural model:
a b c (Å): 5.300 5.300 5.145
angles (deg): 90.00 90.00 90.00
Space group P4/mmm (No. 123)
Unique sites:
Ac  0.000  0.500  0.000 x2
Th  0.000  0.000  0.500 x1
Mg  0.500  0.500  0.500 x1

The 10 most intense peaks (5° ≤ 2θ ≤ 70°), sorted by position:
d [Å], I/Imax, h k l
5.300, 15, 1 0 0
3.692, 13, 1 0 1
3.029, 100, 1 1 1
2.650, 35, 2 0 0
2.573, 16, 0 0 2
1.874, 13, 2 2 0
1.846, 25, 2 0 2
1.594, 31, 3 1 1
1.560, 15, 1 1 3
1.515, 13, 2 2 2

=====

Structure and computed X-ray powder pattern of Y3PaSb4 (DFT lattice parameters and positions (GGA-PBE); Cu Ka).
Intensities are scaled so that the largest is 100.

Structural model:
a b c (Å): 6.198 6.198 12.383
angles (deg): 90.00 90.00 90.00
Space group I4/mmm (No. 139)
Unique sites:
Y  0.000  0.000  0.000 x2
Y  0.000  0.500  0.250 x4
Pa  0.000  0.000  0.500 x2
Sb  0.000  0.000  0.252 x4
Sb  0.000  0.500  0.000 x4

The 10 most intense peaks (5° ≤ 2θ ≤ 70°), sorted by position:
d [Å], I/Imax, h k l
6.192, 3, 0 0 2
5.542, 10, 1 0 1
4.383, 3, 1 1 0
3.098, 100, 2 0 0
2.705, 4, 2 1 1
2.301, 3, 1 0 5
2.191, 76, 2 2 0
1.789, 27, 2 2 4
1.549, 13, 4 0 0
1.385, 34, 4 2 0

=====

Structure and computed X-ray powder pattern of La6As5I (DFT lattice parameters and positions (GGA-PBE); Cu Ka).
Intensities are scaled so that the largest is 100.

Structural model:
a b c (Å): 7.653 13.228 7.622
angles (deg): 90.00 109.56 90.00
Space group C2/m (No. 12)
Unique sites:
La  0.234  0.000  0.261 x4
La  0.236  0.177  0.739 x8
As  0.000  0.000  0.500 x2
As  0.000  0.168  0.000 x4
As  0.000  0.339  0.500 x4
I  0.000  0.500  0.000 x2

The 10 most intense peaks (5° ≤ 2θ ≤ 70°), sorted by position:
d [Å], I/Imax, h k l
3.603, 8, 1 3 -1
3.117, 100, 2 0 -2
2.207, 37, 3 3 -1
2.202, 37, 2 0 2
1.801, 19, 4 0 0
1.796, 7, 0 0 4
1.559, 12, 4 0 -4
1.396, 10, 5 3 -3
1.393, 16, 3 3 -5
1.392, 5, 0 6 4

=====

Structure and computed X-ray powder pattern of Tb2Pr7Er (DFT lattice parameters and positions (GGA-PBE); Cu Ka).
Intensities are scaled so that the largest is 100.

Structural model:
a b c (Å): 12.195 16.973 3.549
angles (deg): 90.00 90.00 90.00
Space group Cmmm (No. 65)
Unique sites:
Tb  0.000  0.165  0.000 x4
Pr  0.000  0.321  0.500 x4
Pr  0.000  0.500  0.000 x2
Pr  0.246  0.372  0.000 x8
Er  0.000  0.000  0.500 x2

The 10 most intense peaks (5° ≤ 2θ ≤ 70°), sorted by position:
d [Å], I/Imax, h k l
3.483, 42, 2 4 0
3.049, 77, 4 0 0
2.919, 100, 1 3 1
2.829, 26, 0 6 0
2.722, 25, 0 4 1
2.566, 30, 2 6 0
2.417, 65, 3 3 1
2.031, 23, 4 4 1
1.894, 26, 5 3 1
1.650, 25, 1 9 1

=====

Structure and computed X-ray powder pattern of NaSr6Tl (DFT lattice parameters and positions (GGA-PBE); Cu Ka).
Intensities are scaled so that the largest is 100.

Structural model:
a b c (Å): 8.363 8.366 8.373
angles (deg): 60.89 60.84 60.97
Space group P-1 (No. 2)
Unique sites:
Na  0.000  0.000  0.000 x1
Sr  0.061  0.466  0.734 x2
Sr  0.266  0.938  0.535 x2
Sr  0.465  0.734  0.062 x2
Tl  0.500  0.500  0.500 x1

The 10 most intense peaks (5° ≤ 2θ ≤ 70°), sorted by position:
d [Å], I/Imax, h k l
6.909, 42, 0 1 0
6.785, 15, 1 1 1
5.956, 18, 1 1 0
4.183, 30, 2 1 1
3.596, 100, 2 1 0
3.454, 24, 2 0 0
2.678, 18, 1 -1 2
2.649, 48, 1 3 2
2.448, 37, 1 1 -2
1.996, 16, 2 3 4

=====

Structure and computed X-ray powder pattern of Fe2Ir8Pt (DFT lattice parameters and positions (GGA-PBE); Cu Ka).
Intensities are scaled so that the largest is 100.

Structural model:
a b c (Å): 8.010 10.042 4.051
angles (deg): 90.00 90.00 90.00
Space group Cmmm (No. 65)
Unique sites:
Fe  0.000  0.115  0.000 x4
Ir  0.000  0.240  0.500 x4
Ir  0.160  0.000  0.500 x4
Ir  0.168  0.364  0.000 x8
Pt  0.000  0.500  0.500 x2

The 10 most intense peaks (5° ≤ 2θ ≤ 70°), sorted by position:
d [Å], I/Imax, h k l
2.848, 32, 2 0 1
2.477, 17, 2 2 1
2.456, 9, 1 3 1
2.176, 85, 3 1 1
2.134, 100, 0 4 1
2.127, 13, 2 4 0
2.087, 53, 3 3 0
2.025, 45, 0 0 2
1.605, 10, 3 5 0
1.454, 34, 3 3 2

=====

Structure and computed X-ray powder pattern of Na3ErCl6 (DFT lattice parameters and positions (GGA-PBE); Cu Ka).
Intensities are scaled so that the largest is 100.

Structural model:
a b c (Å): 6.913 7.308 12.275
angles (deg): 90.00 123.41 90.00
Space group P2_1/c (No. 14)
Unique sites:
Na  0.000  0.000  0.000 x2
Na  0.209  0.075  0.736 x4
Er  0.500  0.000  0.500 x2
Cl  0.128  0.182  0.438 x4
Cl  0.244  0.701  0.416 x4
Cl  0.406  0.068  0.265 x4

The 10 most intense peaks (5° ≤ 2θ ≤ 70°), sorted by position:
d [Å], I/Imax, h k l
5.950, 100, 0 1 1
5.691, 43, 1 0 -2
5.124, 35, 0 0 2
5.022, 75, 1 1 -1
3.606, 40, 1 1 1
3.089, 47, 1 2 0
3.044, 36, 1 0 -4
3.000, 40, 2 1 -1
2.511, 35, 2 2 -2
2.099, 36, 0 2 4

=====

Structure and computed X-ray powder pattern of SrZn3Ir (DFT lattice parameters and positions (GGA-PBE); Cu Ka).
Intensities are scaled so that the largest is 100.

Structural model:
a b c (Å): 6.7265 6.7265 16.4028
angles (deg): 90.00 90.00 120.00
Space group R-3m (No. 166, hexagonal axes)
Unique sites:
Sr  0.0000  0.0000  0.1079 x6
Zn  0.0688  0.5344  0.0888 x18
Ir  0.0000  0.0000  0.2952 x6

The 10 most intense peaks (5° ≤ 2θ ≤ 70°), sorted by position:
d [Å], I/Imax, h k l
5.484, 47, 1 0 1
4.749, 55, 0 1 2
3.363, 95, 1 1 0
2.866, 56, 0 2 1
2.858, 37, 0 1 5
2.178, 100, 2 0 5
2.174, 39, 1 0 7
2.126, 65, 1 2 2
1.829, 62, 0 3 3
1.682, 35, 2 2 0

=====

Structure and computed X-ray powder pattern of Li4GaBr5 (DFT lattice parameters and positions (GGA-PBE); Cu Ka).
Intensities are scaled so that the largest is 100.

Structural model:
a b c (Å): 4.2366 4.2366 36.6002
angles (deg): 90.00 90.00 120.00
Space group P3m1 (No. 156)
Unique sites:
Li  0.0000  0.0000  0.0000 x1
Li  0.0000  0.0000  0.1821 x1
Li  0.0000  0.0000  0.3649 x1
Li  0.0000  0.0000  0.5466 x1
Li  0.0000  0.0000  0.7735 x1
Li  0.6667  0.3333  0.0907 x1
Li  0.6667  0.3333  0.2736 x1
Li  0.6667  0.3333  0.4562 x1
Ga  0.6667  0.3333  0.6577 x1
Ga  0.6667  0.3333  0.8840 x1
Br  0.0000  0.0000  0.1112 x1
Br  0.0000  0.0000  0.2941 x1
Br  0.0000  0.0000  0.4762 x1
Br  0.0000  0.0000  0.7022 x1
Br  0.0000  0.0000  0.9285 x1
Br  0.6667  0.3333  0.0200 x1
Br  0.6667  0.3333  0.2026 x1
Br  0.6667  0.3333  0.3854 x1
Br  0.6667  0.3333  0.5685 x1
Br  0.6667  0.3333  0.7950 x1

The 10 most intense peaks (5° ≤ 2θ ≤ 70°), sorted by position:
d [Å], I/Imax, h k l
3.667, 80, 1 0 0
3.327, 16, 0 0 11
3.280, 100, 0 1 5
3.144, 35, 0 1 6
2.862, 16, 0 1 8
2.724, 20, 0 1 9
2.118, 54, 1 1 0
1.857, 17, 0 1 17
1.834, 21, 2 0 0
1.779, 18, 2 0 5

=====

Structure and computed X-ray powder pattern of CrW2Br (DFT lattice parameters and positions (GGA-PBE); Cu Ka).
Intensities are scaled so that the largest is 100.

Structural model:
a b c (Å): 3.183 4.893 9.009
angles (deg): 90.00 90.00 90.00
Space group Cmm2 (No. 35)
Unique sites:
Cr  0.000  0.000  0.000 x2
W  0.000  0.000  0.544 x2
W  0.000  0.500  0.772 x2
Br  0.000  0.500  0.224 x2

The 10 most intense peaks (5° ≤ 2θ ≤ 70°), sorted by position:
d [Å], I/Imax, h k l
9.009, 78, 0 0 1
3.003, 8, 0 0 3
2.558, 17, 1 1 1
2.446, 33, 0 2 0
2.296, 100, 1 1 2
2.252, 18, 0 0 4
1.995, 16, 1 1 3
1.657, 14, 0 2 4
1.592, 9, 2 0 0
1.381, 20, 1 3 2

=====

Structure and computed X-ray powder pattern of CsZnGePSeBr (DFT lattice parameters and positions (GGA-PBE); Cu Ka).
Intensities are scaled so that the largest is 100.

Structural model:
a b c (Å): 14.966 4.412 6.292
angles (deg): 90.00 113.56 90.00
Space group Cm (No. 8)
Unique sites:
Cs  0.000  0.000  0.000 x2
Zn  0.214  0.500  0.695 x2
Ge  0.284  0.000  0.337 x2
P  0.281  0.000  0.690 x2
Se  0.254  0.500  0.146 x2
Br  0.030  0.500  0.514 x2

The 10 most intense peaks (5° ≤ 2θ ≤ 70°), sorted by position:
d [Å], I/Imax, h k l
3.612, 100, 1 1 -1
3.430, 91, 4 0 0
3.213, 37, 1 1 1
3.178, 59, 3 1 -1
3.145, 67, 2 0 -2
2.506, 28, 3 1 1
2.471, 27, 5 1 -1
2.206, 37, 0 2 0
1.894, 29, 3 1 -3
1.855, 33, 4 2 0

=====

Structure and computed X-ray powder pattern of Tb2ThTe5 (DFT lattice parameters and positions (GGA-PBE); Cu Ka).
Intensities are scaled so that the largest is 100.

Structural model:
a b c (Å): 8.164 8.164 14.308
angles (deg): 90.00 90.00 90.00
Space group I4/mcm (No. 140)
Unique sites:
Tb  0.151  0.349  0.000 x8
Th  0.000  0.000  0.250 x4
Te  0.000  0.000  0.000 x4
Te  0.162  0.338  0.350 x16

The 10 most intense peaks (5° ≤ 2θ ≤ 70°), sorted by position:
d [Å], I/Imax, h k l
3.041, 19, 1 1 4
2.899, 100, 2 1 3
2.886, 16, 2 2 0
2.690, 20, 2 0 4
2.582, 62, 3 1 0
2.093, 11, 3 1 4
1.827, 28, 4 2 0
1.498, 12, 3 3 6
1.470, 13, 3 1 8
1.444, 20, 4 4 0

=====

Structure and computed X-ray powder pattern of Zn2InAg (DFT lattice parameters and positions (GGA-PBE); Cu Ka).
Intensities are scaled so that the largest is 100.

Structural model:
a b c (Å): 9.060 3.478 4.858
angles (deg): 90.00 101.23 90.00
Space group Cm (No. 8)
Unique sites:
Zn  0.000  0.000  0.000 x2
Zn  0.245  0.500  0.220 x2
In  0.002  0.500  0.494 x2
Ag  0.255  0.000  0.774 x2

The 10 most intense peaks (5° ≤ 2θ ≤ 70°), sorted by position:
d [Å], I/Imax, h k l
2.594, 100, 1 1 1
2.294, 34, 2 0 -2
2.222, 32, 4 0 0
2.166, 60, 3 1 -1
1.948, 20, 2 0 2
1.739, 15, 0 2 0
1.468, 15, 1 1 -3
1.430, 15, 5 1 1
1.385, 19, 6 0 -2
1.369, 13, 4 2 0

=====

Structure and computed X-ray powder pattern of Mg8InIr2 (DFT lattice parameters and positions (GGA-PBE); Cu Ka).
Intensities are scaled so that the largest is 100.

Structural model:
a b c (Å): 4.729 6.489 8.099
angles (deg): 112.58 105.44 92.65
Space group P1 (No. 1)
Unique sites:
Mg  0.000  0.000  0.000 x1
Mg  0.021  0.478  0.051 x1
Mg  0.224  0.360  0.411 x1
Mg  0.406  0.883  0.650 x1
Mg  0.460  0.599  0.888 x1
Mg  0.622  0.077  0.248 x1
Mg  0.645  0.650  0.298 x1
Mg  0.967  0.144  0.650 x1
In  0.856  0.585  0.649 x1
Ir  0.147  0.909  0.321 x1
Ir  0.476  0.238  0.978 x1

The 10 most intense peaks (5° ≤ 2θ ≤ 70°), sorted by position:
d [Å], I/Imax, h k l
3.904, 44, 1 -1 0
3.828, 100, 0 1 -2
3.736, 46, 1 1 -1
3.361, 32, 1 0 1
3.333, 32, 1 0 -2
3.241, 28, 0 2 -1
2.369, 83, -1 2 1
2.362, 29, 2 0 -1
2.299, 23, 1 2 0
2.284, 22, 1 2 -3